# 1
Diffraction record for Na2ScNbSi2SO12. The powder diffraction line list is theoretical, not measured: it uses DFT lattice parameters and positions (PBE) and Cu Kα (λ = 1.5418 Å).

```
Na2ScNbSi2SO12
1.0
7.7917 -4.5301 0.0000
7.7917 4.5301 0.0000
-5.1621 0.0000 7.6044
Na Sc Nb Si S O
4 2 2 4 2 24
direct
0.0512 0.9488 0.5000
0.3276 0.8238 0.2339
0.8238 0.3276 0.7339
0.9488 0.0512 0.0000
0.1610 0.6742 0.8103
0.6742 0.1610 0.3103
0.4646 0.9627 0.6887
0.9627 0.4646 0.1887
0.0697 0.2794 0.5049
0.2794 0.0697 0.0049
0.7780 0.8624 0.5085
0.8624 0.7780 0.0085
0.3583 0.5713 0.5015
0.5713 0.3583 0.0015
0.0357 0.3112 0.3225
0.0430 0.7488 0.9859
0.0895 0.2500 0.0230
0.1163 0.4461 0.6698
0.1957 0.5447 0.3435
0.2458 0.9016 0.9888
0.2500 0.0895 0.5230
0.3112 0.0357 0.8225
0.3346 0.6036 0.6616
0.3651 0.7409 0.5101
0.4229 0.5243 0.9792
0.4461 0.1163 0.1698
0.5243 0.4229 0.4792
0.5447 0.1957 0.8435
0.5941 0.8790 0.5232
0.6036 0.3346 0.1616
0.6773 0.8301 0.8379
0.7409 0.3651 0.0101
0.7488 0.0430 0.4859
0.8301 0.6773 0.3379
0.8408 0.9519 0.1812
0.8790 0.5941 0.0232
0.9016 0.2458 0.4888
0.9519 0.8408 0.6812
```

Peak list (10 most intense, 10° ≤ 2θ ≤ 80°, sorted by position)
2theta, Rel. int.
13.73, 76
19.28, 100
19.60, 29
19.70, 66
22.87, 83
22.98, 37
27.67, 60
30.71, 95
30.83, 43
34.34, 47



# 2
Diffraction record for TbDy3Al8. The powder diffraction line list is theoretical, not measured: it uses DFT lattice parameters and positions (PBE) and Cu Kα (λ = 1.5418 Å).

```
TbDy3Al8
1.0
2.7830 1.6068 9.0897
-2.7830 1.6068 9.0897
0.0000 -3.2135 9.0897
Tb Dy Al
1 3 8
direct
0.0000 0.0000 0.0000
0.3748 0.3748 0.3748
0.5001 0.5001 0.5001
0.8750 0.8750 0.8750
0.1875 0.1875 0.1875
0.4373 0.4373 0.9377
0.4373 0.9377 0.4373
0.4377 0.9374 0.9374
0.6875 0.6875 0.6875
0.9374 0.4377 0.9374
0.9374 0.9374 0.4377
0.9377 0.4373 0.4373
```

Peak list (10 most intense, 10° ≤ 2θ ≤ 80°, sorted by position)
2theta, Rel. int.
19.53, 64
32.16, 100
37.91, 99
50.54, 17
57.34, 39
61.18, 32
67.29, 21
70.82, 12
76.55, 17
79.91, 11



# 3
Diffraction record for KNa4GeAs3. The powder diffraction line list is theoretical, not measured: it uses DFT lattice parameters and positions (PBE) and Cu Kα (λ = 1.5418 Å).

```
KNa4GeAs3
1.0
15.2939 0.0000 0.0000
0.0000 4.8236 0.0000
0.0000 0.0000 13.2427
K Na Ge As
4 16 4 12
direct
0.0165 0.2500 0.1286
0.4835 0.7500 0.6286
0.5165 0.2500 0.3714
0.9835 0.7500 0.8714
0.0623 0.2500 0.4280
0.0807 0.2500 0.6903
0.2128 0.7500 0.0594
0.2441 0.7500 0.7627
0.2559 0.2500 0.2627
0.2872 0.2500 0.5594
0.4193 0.7500 0.1903
0.4377 0.7500 0.9280
0.5623 0.2500 0.0720
0.5807 0.2500 0.8097
0.7128 0.7500 0.4406
0.7441 0.7500 0.7373
0.7559 0.2500 0.2373
0.7872 0.2500 0.9406
0.9193 0.7500 0.3097
0.9377 0.7500 0.5720
0.2060 0.7500 0.4157
0.2940 0.2500 0.9157
0.7060 0.7500 0.0843
0.7940 0.2500 0.5843
0.1173 0.7500 0.2678
0.1342 0.7500 0.5758
0.1397 0.2500 0.9086
0.3603 0.7500 0.4086
0.3658 0.2500 0.0758
0.3827 0.2500 0.7678
0.6173 0.7500 0.2322
0.6342 0.7500 0.9242
0.6397 0.2500 0.5914
0.8603 0.7500 0.0914
0.8658 0.2500 0.4242
0.8827 0.2500 0.7322
```

Peak list (10 most intense, 10° ≤ 2θ ≤ 80°, sorted by position)
2theta, Rel. int.
20.44, 100
23.27, 55
29.82, 78
30.59, 28
33.34, 34
35.40, 25
37.31, 81
40.88, 75
44.44, 35
56.52, 56